# 1
# Th3As2Pt2Rh5
Computed PXRD pattern, Cu Kα X-rays. Input: a GGA-PBE-relaxed structure.
Kinematic intensities with the Lorentz-polarization factor, no thermal factor.

Lattice parameters (Å, degrees): 4.1227 4.1227 27.1819 90.00 90.00 90.00
Space group I4/mmm (No. 139)
Asymmetric unit:
Th 0.0000 0.0000 0.0000
Th 0.0000 0.0000 0.1702
As 0.0000 0.0000 0.3735
Pt 0.0000 0.0000 0.2792
Rh 0.0000 0.0000 0.5000
Rh 0.0000 0.5000 0.0795

Principal peaks in the range 10° ≤ 2θ ≤ 90°, low angle first:
2θ (°)  d (Å)  I_rel  hkl
30.7  2.915  60  1 1 0
31.4  2.850  36  1 1 2
31.7  2.827  39  1 0 7
36.7  2.452  100  1 1 6
36.9  2.436  60  1 0 9
42.7  2.120  50  1 0 11
43.9  2.061  87  2 0 0
62.9  1.478  32  2 1 11

***

# 2
# Sr3Sn3Rh
Computed PXRD pattern, Cu Kα X-rays. Input: a GGA-PBE-relaxed structure.
Kinematic intensities with the Lorentz-polarization factor, no thermal factor.

Lattice parameters (Å, degrees): 11.8982 4.8281 15.8715 90.00 109.50 90.00
Space group C2/m (No. 12)
Asymmetric unit:
Sr 0.0189 0.0000 0.3859
Sr 0.0993 0.0000 0.9184
Sr 0.2434 0.0000 0.2355
Sn 0.0430 0.5000 0.2431
Sn 0.1121 0.5000 0.0776
Sn 0.1684 0.5000 0.5411
Rh 0.2420 0.5000 0.3939

Principal peaks in the range 10° ≤ 2θ ≤ 90°, low angle first:
2θ (°)  d (Å)  I_rel  hkl
14.9  5.944  33  2 0 -1
28.7  3.116  32  1 1 3
29.2  3.062  100  1 1 -4
35.5  2.530  62  3 1 2
35.8  2.505  32  4 0 -5
36.0  2.493  25  0 0 6
37.2  2.414  49  0 2 0
57.5  1.603  25  7 1 -3

***

# 3
# KPm4Rh3O12
Computed PXRD pattern, Cu Kα X-rays. Input: a GGA-PBE-relaxed structure.
Kinematic intensities with the Lorentz-polarization factor, no thermal factor.

Lattice parameters (Å, degrees): 8.4667 8.4667 8.4667 90.00 90.00 90.00
Space group Im-3 (No. 204)
Asymmetric unit:
K 0.0000 0.0000 0.0000
Pm 0.2500 0.2500 0.2500
Rh 0.0000 0.0000 0.5000
O 0.0000 0.3294 0.1568

Principal peaks in the range 10° ≤ 2θ ≤ 90°, low angle first:
2θ (°)  d (Å)  I_rel  hkl
21.0  4.233  7  2 0 0
29.8  2.993  100  2 2 0
42.7  2.117  20  4 0 0
48.1  1.893  5  4 2 0
53.0  1.728  48  4 2 2
62.0  1.497  12  4 4 0
70.3  1.339  19  6 0 2
85.9  1.131  21  6 2 4